Calculated PXRD pattern of La5Y4Sc for Cu Ka, from a cell relaxed with PBE.

```
La5Y4Sc
1.0
3.728 0.000 0.000
0.000 3.728 0.000
0.000 0.000 24.354
La Y Sc
5 4 1
Direct
0.000 0.000 0.000
0.000 0.000 0.205
0.000 0.000 0.409
0.000 0.000 0.591
0.000 0.000 0.795
0.500 0.500 0.103
0.500 0.500 0.307
0.500 0.500 0.693
0.500 0.500 0.897
0.500 0.500 0.500
```

Peak list (8 most intense, 2θ = 10–90°, in order of rising 2θ)
2theta, intensity
30.2, 100.0
34.0, 37.7
36.9, 12.9
48.9, 13.4
51.1, 20.1
58.5, 32.6
62.4, 8.9
62.8, 10.7

=====

Calculated PXRD pattern of La7Y4Sc for Cu Ka, from a cell relaxed with PBE.

```
La7Y4Sc
1.0
5.796 -2.922 0.000
5.796 2.922 0.000
-5.050 0.000 12.371
La Y Sc
7 4 1
Direct
0.000 0.000 0.000
0.201 0.201 0.907
0.342 0.342 0.467
0.349 0.349 0.727
0.651 0.651 0.273
0.658 0.658 0.533
0.799 0.799 0.093
0.008 0.008 0.634
0.323 0.323 0.201
0.677 0.677 0.799
0.992 0.992 0.366
0.500 0.500 0.000
```

Peak list (8 most intense, 2θ = 10–90°, in order of rising 2θ)
2theta, intensity
19.9, 28.2
27.8, 24.9
29.3, 53.4
30.6, 75.9
30.9, 100.0
32.0, 34.1
32.2, 23.2
44.8, 26.5

=====

Calculated PXRD pattern of La11Y9Sc4 for Cu Ka, from a cell relaxed with PBE.

```
La11Y9Sc4
1.0
8.551 -12.901 0.000
8.551 12.901 0.000
0.000 0.000 3.651
La Y Sc
11 9 4
Direct
0.000 0.000 0.000
0.046 0.406 0.000
0.159 0.841 0.000
0.300 0.300 0.000
0.371 0.629 0.000
0.406 0.046 0.000
0.594 0.954 0.000
0.629 0.371 0.000
0.700 0.700 0.000
0.841 0.159 0.000
0.954 0.594 0.000
0.074 0.217 0.500
0.167 0.629 0.500
0.217 0.074 0.500
0.371 0.833 0.500
0.500 0.500 0.500
0.629 0.167 0.500
0.783 0.926 0.500
0.833 0.371 0.500
0.926 0.783 0.500
0.241 0.446 0.500
0.446 0.241 0.500
0.554 0.759 0.500
0.759 0.554 0.500
```

Peak list (8 most intense, 2θ = 10–90°, in order of rising 2θ)
2theta, intensity
28.1, 13.3
29.5, 43.5
30.0, 15.6
30.4, 13.0
30.9, 18.6
31.6, 12.8
32.2, 100.0
59.1, 14.9

=====

Calculated PXRD pattern of La5Y5Sc2 for Cu Ka, from a cell relaxed with PBE.

```
La5Y5Sc2
1.0
7.682 -2.506 0.000
7.682 2.506 0.000
-5.140 0.000 10.221
La Y Sc
5 5 2
Direct
0.000 0.000 0.000
0.078 0.078 0.750
0.165 0.165 0.500
0.835 0.835 0.500
0.922 0.922 0.250
0.244 0.244 0.246
0.333 0.333 0.998
0.500 0.500 0.500
0.667 0.667 0.002
0.756 0.756 0.754
0.416 0.416 0.750
0.584 0.584 0.250
```

Peak list (8 most intense, 2θ = 10–90°, in order of rising 2θ)
2theta, intensity
30.5, 100.0
35.1, 34.0
35.8, 16.2
51.0, 23.0
60.0, 13.6
60.1, 13.8
61.1, 13.3
63.4, 11.8

=====

Calculated PXRD pattern of La6ScZn5 for Cu Ka, from a cell relaxed with PBE.

```
La6ScZn5
1.0
5.301 0.000 0.000
0.000 7.604 0.000
-2.651 0.000 8.079
La Sc Zn
6 1 5
Direct
0.000 0.229 0.000
0.000 0.771 0.000
0.329 0.248 0.656
0.329 0.752 0.656
0.671 0.248 0.344
0.671 0.752 0.344
0.500 0.500 0.000
0.149 0.500 0.302
0.165 0.000 0.335
0.500 0.000 0.000
0.835 0.000 0.665
0.851 0.500 0.698
```

Peak list (8 most intense, 2θ = 10–90°, in order of rising 2θ)
2theta, intensity
23.5, 14.8
33.3, 24.6
33.4, 100.0
33.8, 25.0
48.2, 17.2
59.5, 24.8
60.3, 17.8
70.2, 10.1

=====

Calculated PXRD pattern of LaScZn4 for Cu Ka, from a cell relaxed with PBE.

```
LaScZn4
1.0
4.423 0.000 0.000
-2.211 3.830 0.000
0.000 0.000 7.280
La Sc Zn
1 1 4
Direct
0.000 0.000 0.000
0.000 0.000 0.500
0.333 0.667 0.300
0.333 0.667 0.700
0.667 0.333 0.300
0.667 0.333 0.700
```

Peak list (8 most intense, 2θ = 10–90°, in order of rising 2θ)
2theta, intensity
26.3, 40.5
34.0, 100.0
37.0, 15.7
40.8, 74.2
54.1, 25.4
56.3, 27.4
69.9, 22.7
74.3, 11.7

=====

Calculated PXRD pattern of LaSc4Zn for Cu Ka, from a cell relaxed with PBE.

```
LaSc4Zn
1.0
0.000 4.287 4.287
4.287 0.000 4.287
4.287 4.287 0.000
La Sc Zn
1 4 1
Direct
0.000 0.000 0.000
0.125 0.625 0.625
0.625 0.125 0.625
0.625 0.625 0.125
0.625 0.625 0.625
0.250 0.250 0.250
```

Peak list (8 most intense, 2θ = 10–90°, in order of rising 2θ)
2theta, intensity
17.9, 14.6
29.5, 57.6
34.7, 100.0
36.3, 18.2
52.3, 22.8
55.7, 32.3
61.1, 22.8
87.4, 19.5

=====

Calculated PXRD pattern of LaSc5Zn6 for Cu Ka, from a cell relaxed with PBE.

```
LaSc5Zn6
1.0
-2.411 3.456 7.233
2.411 -3.456 7.233
2.411 3.456 -7.233
La Sc Zn
1 5 6
Direct
0.000 0.000 0.000
0.162 0.662 0.500
0.330 0.330 0.000
0.500 0.000 0.500
0.670 0.670 0.000
0.838 0.338 0.500
0.094 0.826 0.268
0.282 0.500 0.782
0.443 0.174 0.268
0.557 0.826 0.732
0.718 0.500 0.218
0.906 0.174 0.732
```

Peak list (8 most intense, 2θ = 10–90°, in order of rising 2θ)
2theta, intensity
25.7, 7.7
37.0, 100.0
37.3, 51.0
53.0, 7.4
53.8, 16.5
66.6, 14.2
67.1, 30.6
78.9, 8.2

=====

Calculated PXRD pattern of La2ScZn9 for Cu Ka, from a cell relaxed with PBE.

```
La2ScZn9
1.0
2.732 1.578 8.815
-2.732 1.578 8.815
0.000 -3.155 8.815
La Sc Zn
2 1 9
Direct
0.141 0.141 0.141
0.859 0.859 0.859
0.000 0.000 0.000
0.075 0.580 0.580
0.335 0.335 0.335
0.420 0.420 0.925
0.420 0.925 0.420
0.500 0.500 0.500
0.580 0.075 0.580
0.580 0.580 0.075
0.665 0.665 0.665
0.925 0.420 0.420
```

Peak list (8 most intense, 2θ = 10–90°, in order of rising 2θ)
2theta, intensity
30.3, 28.8
32.8, 38.7
33.1, 29.4
38.2, 34.1
38.8, 100.0
41.8, 32.3
42.2, 23.6
68.7, 25.6

=====

Calculated PXRD pattern of LaZrSc2 for Cu Ka, from a cell relaxed with PBE.

```
LaZrSc2
1.0
3.317 0.000 0.000
0.000 3.317 0.000
0.000 0.000 9.730
La Zr Sc
1 1 2
Direct
0.000 0.000 0.000
0.000 0.000 0.500
0.500 0.500 0.280
0.500 0.500 0.720
```

Peak list (8 most intense, 2θ = 10–90°, in order of rising 2θ)
2theta, intensity
18.2, 22.4
26.9, 16.3
32.7, 100.0
37.0, 15.8
38.4, 33.1
54.3, 20.0
55.4, 11.0
65.8, 24.6

=====

Calculated PXRD pattern of LaSe5 for Cu Ka, from a cell relaxed with PBE.

```
LaSe5
1.0
5.269 -2.141 0.000
5.269 2.141 0.000
-0.898 0.000 7.684
La Se
1 5
Direct
0.000 0.000 0.000
0.174 0.174 0.674
0.400 0.400 0.730
0.440 0.440 0.266
0.664 0.664 0.336
0.705 0.705 0.026
```

Peak list (8 most intense, 2θ = 10–90°, in order of rising 2θ)
2theta, intensity
11.5, 42.0
25.7, 100.0
31.7, 89.4
33.1, 48.6
34.3, 25.4
35.0, 36.3
42.2, 34.6
56.0, 22.1

=====

Calculated PXRD pattern of LaSe2 for Cu Ka, from a cell relaxed with PBE.

```
LaSe2
1.0
8.640 0.000 0.000
0.000 4.271 0.000
-0.032 0.000 8.546
La Se
4 8
Direct
0.223 0.224 0.373
0.223 0.276 0.873
0.777 0.724 0.127
0.777 0.776 0.627
0.135 0.742 0.125
0.135 0.758 0.625
0.498 0.680 0.382
0.498 0.820 0.882
0.502 0.180 0.118
0.502 0.320 0.618
0.865 0.242 0.375
0.865 0.258 0.875
```

Peak list (8 most intense, 2θ = 10–90°, in order of rising 2θ)
2theta, intensity
23.2, 40.1
29.6, 40.3
31.1, 38.9
31.4, 73.8
36.3, 100.0
37.6, 41.3
42.3, 57.3
53.4, 20.4

=====

What did the sixth record say?
Calculated PXRD pattern of LaScZn4 for Cu Ka, from a cell relaxed with PBE.

```
LaScZn4
1.0
4.423 0.000 0.000
-2.211 3.830 0.000
0.000 0.000 7.280
La Sc Zn
1 1 4
Direct
0.000 0.000 0.000
0.000 0.000 0.500
0.333 0.667 0.300
0.333 0.667 0.700
0.667 0.333 0.300
0.667 0.333 0.700
```

Peak list (8 most intense, 2θ = 10–90°, in order of rising 2θ)
2theta, intensity
26.3, 40.5
34.0, 100.0
37.0, 15.7
40.8, 74.2
54.1, 25.4
56.3, 27.4
69.9, 22.7
74.3, 11.7